Computed powder diffraction line list of TiMn2InO6 for Cu Ka, from a cell relaxed with GGA+U.

Atomic structure:
```
data_TiMn2InO6
_cell_length_a 5.2151
_cell_length_b 5.2217
_cell_length_c 5.6529
_cell_angle_alpha 62.74
_cell_angle_beta 62.83
_cell_angle_gamma 60.13
_symmetry_space_group_name_H-M 'P 1'
_symmetry_Int_Tables_number 1
_symmetry_space_group_name_Hall 'P 1'
loop_
_atom_site_label
_atom_site_type_symbol
_atom_site_fract_x
_atom_site_fract_y
_atom_site_fract_z
_atom_site_occupancy
Ti1 Ti 0.0000 0.0000 0.0000 1
Mn1 Mn 0.2128 0.2065 0.3722 1
Mn2 Mn 0.6973 0.6904 0.9215 1
In1 In 0.4914 0.4850 0.5391 1
O1 O 0.0711 0.4051 0.7206 1
O2 O 0.2925 0.8922 0.1824 1
O3 O 0.4093 0.8063 0.7198 1
O4 O 0.6375 0.2842 0.1851 1
O5 O 0.8146 0.0652 0.7173 1
O6 O 0.8966 0.6320 0.1852 1
```

Main lines, in order of rising 2θ (15° ≤ 2θ ≤ 90°):
- hkl 1 1 1, 20.6°, intensity 31
- hkl 1 0 1, 23.2°, intensity 48
- hkl 0 1 -1, 31.7°, intensity 83
- hkl 1 1 2, 31.9°, intensity 41
- hkl 1 2 1, 34.3°, intensity 100
- hkl 0 2 2, 47.4°, intensity 32
- hkl 1 2 -1, 51.6°, intensity 21
- hkl -1 1 2, 51.7°, intensity 19
- hkl -2 1 1, 59.8°, intensity 28
- hkl 0 3 1, 61.5°, intensity 25